Entry 1:
Computed PXRD pattern
Compound: Li4Nb2Cr3Ni3O16
Radiation: Cu Kα, 1.54184 Å
Structure: a DFT-relaxed cell (PBE+U, the Materials Project)
No peak broadening, texture or thermal motion is included.

Most intense lines, 10° ≤ 2θ ≤ 80°, in order of rising 2θ:
- 4.829 Å, 18.4 deg, intensity 33
- 4.553 Å, 19.5 deg, intensity 48
- 4.532 Å, 19.6 deg, intensity 100
- 2.725 Å, 32.9 deg, intensity 43
- 2.524 Å, 35.6 deg, intensity 40
- 2.482 Å, 36.2 deg, intensity 42
- 2.006 Å, 45.2 deg, intensity 34
- 1.483 Å, 62.7 deg, intensity 29

Structure:
Cell lengths 5.9274, 5.9345, 9.6585 Å; angles 90.27, 90.10, 119.77 degrees
Space group P1 (No. 1)
Unique sites:
Li 0.0000 0.0000 0.0000 (multiplicity 1)
Li 0.0041 0.0030 0.4951 (multiplicity 1)
Li 0.3191 0.6626 0.4044 (multiplicity 1)
Li 0.6645 0.3391 0.9049 (multiplicity 1)
Nb 0.3324 0.6616 0.0051 (multiplicity 1)
Nb 0.6803 0.3443 0.5005 (multiplicity 1)
Cr 0.1721 0.3433 0.7213 (multiplicity 1)
Cr 0.1837 0.8412 0.7265 (multiplicity 1)
Cr 0.3455 0.1718 0.2313 (multiplicity 1)
Ni 0.6589 0.8307 0.7171 (multiplicity 1)
Ni 0.8234 0.1687 0.2174 (multiplicity 1)
Ni 0.8241 0.6594 0.2172 (multiplicity 1)
O 0.0121 0.0021 0.8097 (multiplicity 1)
O 0.0124 0.0081 0.3039 (multiplicity 1)
O 0.0363 0.5249 0.8448 (multiplicity 1)
O 0.1712 0.3346 0.0990 (multiplicity 1)
O 0.1744 0.8406 0.0979 (multiplicity 1)
O 0.3068 0.6638 0.6127 (multiplicity 1)
O 0.3342 0.1682 0.6038 (multiplicity 1)
O 0.4697 0.9670 0.8441 (multiplicity 1)
O 0.4725 0.5178 0.8456 (multiplicity 1)
O 0.4959 0.0335 0.3501 (multiplicity 1)
O 0.4960 0.4662 0.3516 (multiplicity 1)
O 0.6321 0.3196 0.1138 (multiplicity 1)
O 0.6681 0.8373 0.0936 (multiplicity 1)
O 0.8369 0.1682 0.5974 (multiplicity 1)
O 0.8405 0.6738 0.5984 (multiplicity 1)
O 0.9505 0.4774 0.3497 (multiplicity 1)

***

Entry 2:
Computed PXRD pattern
Compound: Sr2MgWO6
Radiation: Cu Kα, 1.54184 Å
Structure: a DFT-relaxed cell (PBE+U, the Materials Project)
No peak broadening, texture or thermal motion is included.

Most intense lines, 10° ≤ 2θ ≤ 80°, in order of rising 2θ:
- 4.632 Å, 19.2 deg, intensity 72
- 2.842 Å, 31.5 deg, intensity 100
- 2.824 Å, 31.7 deg, intensity 53
- 2.411 Å, 37.3 deg, intensity 26
- 1.997 Å, 45.4 deg, intensity 32
- 1.644 Å, 55.9 deg, intensity 21
- 1.634 Å, 56.3 deg, intensity 43
- 1.421 Å, 65.7 deg, intensity 20

Structure:
Cell lengths 5.6489, 5.6489, 8.0899 Å; angles 90.00, 90.00, 90.00 degrees
Space group I4/m (No. 87)
Unique sites:
Sr 0.0000 0.5000 0.2500 (multiplicity 4)
Mg 0.0000 0.0000 0.0000 (multiplicity 2)
W 0.0000 0.0000 0.5000 (multiplicity 2)
O 0.0000 0.0000 0.2583 (multiplicity 4)
O 0.2011 0.7187 0.5000 (multiplicity 8)

***

Entry 3:
Computed PXRD pattern
Compound: LiV2C4O12
Radiation: Cu Kα, 1.54184 Å
Structure: a DFT-relaxed cell (PBE+U, the Materials Project)
No peak broadening, texture or thermal motion is included.

Most intense lines, 10° ≤ 2θ ≤ 80°, in order of rising 2θ:
- 7.286 Å, 12.1 deg, intensity 100
- 6.369 Å, 13.9 deg, intensity 92
- 4.992 Å, 17.8 deg, intensity 62
- 4.730 Å, 18.8 deg, intensity 37
- 4.624 Å, 19.2 deg, intensity 60
- 3.807 Å, 23.4 deg, intensity 26
- 3.180 Å, 28.1 deg, intensity 41
- 2.995 Å, 29.8 deg, intensity 45

Structure:
Cell lengths 7.8721, 7.9839, 8.5890 Å; angles 102.70, 102.02, 106.95 degrees
Space group P-1 (No. 2)
Unique sites:
Li 0.2054 0.0175 0.3164 (multiplicity 2)
V 0.2057 0.4639 0.5611 (multiplicity 2)
V 0.2865 0.7418 0.0513 (multiplicity 2)
C 0.0056 0.7334 0.7331 (multiplicity 2)
C 0.0558 0.3350 0.8132 (multiplicity 2)
C 0.4620 0.8490 0.7799 (multiplicity 2)
C 0.4679 0.6322 0.2569 (multiplicity 2)
O 0.0106 0.5779 0.6423 (multiplicity 2)
O 0.0751 0.7769 0.1499 (multiplicity 2)
O 0.0844 0.2806 0.6716 (multiplicity 2)
O 0.1131 0.8249 0.8760 (multiplicity 2)
O 0.1282 0.2245 0.3474 (multiplicity 2)
O 0.1564 0.4925 0.9179 (multiplicity 2)
O 0.3059 0.6442 0.2568 (multiplicity 2)
O 0.3605 0.7325 0.6392 (multiplicity 2)
O 0.4116 0.0029 0.2198 (multiplicity 2)
O 0.4494 0.4302 0.6391 (multiplicity 2)
O 0.4494 0.8198 0.9197 (multiplicity 2)
O 0.4732 0.3111 0.8588 (multiplicity 2)

***

Entry 4:
Computed PXRD pattern
Compound: Zr2Cr2F3
Radiation: Cu Kα, 1.54184 Å
Structure: a DFT-relaxed cell (PBE+U, the Materials Project)
No peak broadening, texture or thermal motion is included.

Most intense lines, 10° ≤ 2θ ≤ 80°, in order of rising 2θ:
- 5.838 Å, 15.2 deg, intensity 43
- 3.590 Å, 24.8 deg, intensity 41
- 3.096 Å, 28.8 deg, intensity 38
- 2.912 Å, 30.7 deg, intensity 37
- 2.795 Å, 32.0 deg, intensity 100
- 2.517 Å, 35.7 deg, intensity 81
- 2.486 Å, 36.1 deg, intensity 59
- 2.449 Å, 36.7 deg, intensity 38

Structure:
Cell lengths 8.6852, 9.9436, 5.8493 Å; angles 90.00, 93.63, 90.00 degrees
Space group Cm (No. 8)
Unique sites:
Zr 0.0000 0.0000 0.0000 (multiplicity 2)
Zr 0.1229 0.5000 0.9966 (multiplicity 2)
Zr 0.3318 0.2304 0.8212 (multiplicity 4)
Cr 0.0698 0.2504 0.2998 (multiplicity 4)
Cr 0.1194 0.0000 0.5601 (multiplicity 2)
Cr 0.2718 0.5000 0.6036 (multiplicity 2)
F 0.2206 0.1444 0.1096 (multiplicity 4)
F 0.3134 0.5000 0.2467 (multiplicity 2)
F 0.3949 0.0000 0.8423 (multiplicity 2)
F 0.4011 0.1873 0.4915 (multiplicity 4)

***

Entry 5:
Computed PXRD pattern
Compound: LiMnSiO4
Radiation: Cu Kα, 1.54184 Å
Structure: a DFT-relaxed cell (PBE+U, the Materials Project)
No peak broadening, texture or thermal motion is included.

Most intense lines, 10° ≤ 2θ ≤ 80°, in order of rising 2θ:
- 5.578 Å, 15.9 deg, intensity 66
- 3.589 Å, 24.8 deg, intensity 78
- 3.419 Å, 26.1 deg, intensity 55
- 2.562 Å, 35.0 deg, intensity 89
- 2.397 Å, 37.5 deg, intensity 100
- 2.163 Å, 41.8 deg, intensity 44
- 1.972 Å, 46.0 deg, intensity 48
- 1.457 Å, 63.9 deg, intensity 87

Structure:
Cell lengths 7.8862, 7.8901, 8.6544 Å; angles 90.00, 90.00, 90.00 degrees
Space group C222_1 (No. 20)
Unique sites:
Li 0.1136 0.1133 0.3754 (multiplicity 8)
Mn 0.1344 0.3653 0.1258 (multiplicity 8)
Si 0.0000 0.2626 0.7500 (multiplicity 4)
Si 0.2376 0.5000 0.5000 (multiplicity 4)
O 0.1171 0.3764 0.3864 (multiplicity 8)
O 0.1218 0.1378 0.6426 (multiplicity 8)
O 0.1234 0.3832 0.8638 (multiplicity 8)
O 0.1375 0.1218 0.1073 (multiplicity 8)

***

Entry 6:
Computed PXRD pattern
Compound: LiCo4O8
Radiation: Cu Kα, 1.54184 Å
Structure: a DFT-relaxed cell (PBE+U, the Materials Project)
No peak broadening, texture or thermal motion is included.

Most intense lines, 10° ≤ 2θ ≤ 80°, in order of rising 2θ:
- 5.014 Å, 17.7 deg, intensity 100
- 2.429 Å, 37.0 deg, intensity 18
- 2.416 Å, 37.2 deg, intensity 9
- 2.342 Å, 38.4 deg, intensity 5
- 2.057 Å, 44.0 deg, intensity 41
- 1.617 Å, 56.9 deg, intensity 15
- 1.496 Å, 62.0 deg, intensity 7
- 1.415 Å, 66.0 deg, intensity 7

Structure:
Cell lengths 5.7004, 5.9995, 9.7839 Å; angles 73.97, 89.94, 61.64 degrees
Space group P1 (No. 1)
Unique sites:
Li 0.0000 0.0000 0.0000 (multiplicity 1)
Li 0.4984 0.0026 0.4971 (multiplicity 1)
Co 0.0027 0.4971 0.5002 (multiplicity 1)
Co 0.2483 0.5013 0.2485 (multiplicity 1)
Co 0.2500 0.5013 0.7485 (multiplicity 1)
Co 0.4968 0.5054 0.9972 (multiplicity 1)
Co 0.5014 0.4974 0.4997 (multiplicity 1)
Co 0.7495 0.5013 0.2485 (multiplicity 1)
Co 0.7499 0.5013 0.7485 (multiplicity 1)
Co 0.9981 0.5053 0.9968 (multiplicity 1)
O 0.0951 0.3093 0.8660 (multiplicity 1)
O 0.1144 0.2994 0.3705 (multiplicity 1)
O 0.1531 0.6959 0.8819 (multiplicity 1)
O 0.1562 0.6880 0.3851 (multiplicity 1)
O 0.3423 0.3147 0.1118 (multiplicity 1)
O 0.3479 0.3067 0.6151 (multiplicity 1)
O 0.3857 0.7005 0.1271 (multiplicity 1)
O 0.4059 0.6914 0.6314 (multiplicity 1)
O 0.5858 0.3033 0.3691 (multiplicity 1)
O 0.5958 0.3111 0.8656 (multiplicity 1)
O 0.6553 0.6911 0.8853 (multiplicity 1)
O 0.6556 0.6893 0.3867 (multiplicity 1)
O 0.8428 0.3132 0.1103 (multiplicity 1)
O 0.8450 0.3115 0.6117 (multiplicity 1)
O 0.9033 0.6934 0.6309 (multiplicity 1)
O 0.9116 0.7018 0.1275 (multiplicity 1)

***

Entry 7:
Computed PXRD pattern
Compound: LiVF4
Radiation: Cu Kα, 1.54184 Å
Structure: a DFT-relaxed cell (PBE+U, the Materials Project)
No peak broadening, texture or thermal motion is included.

Most intense lines, 10° ≤ 2θ ≤ 80°, in order of rising 2θ:
- 5.647 Å, 15.7 deg, intensity 41
- 4.707 Å, 18.9 deg, intensity 91
- 3.829 Å, 23.2 deg, intensity 72
- 3.615 Å, 24.6 deg, intensity 61
- 3.039 Å, 29.4 deg, intensity 44
- 2.905 Å, 30.8 deg, intensity 33
- 2.342 Å, 38.4 deg, intensity 64
- 2.169 Å, 41.6 deg, intensity 100

Structure:
Cell lengths 4.7158, 5.6466, 5.2194 Å; angles 90.00, 93.59, 90.00 degrees
Space group P2/c (No. 13)
Unique sites:
Li 0.0000 0.1349 0.2500 (multiplicity 2)
V 0.5000 0.3446 0.7500 (multiplicity 2)
F 0.2362 0.1278 0.5880 (multiplicity 4)
F 0.2824 0.3857 0.0768 (multiplicity 4)

***

Entry 8:
Computed PXRD pattern
Compound: SrMn2Si2O10
Radiation: Cu Kα, 1.54184 Å
Structure: a DFT-relaxed cell (PBE+U, the Materials Project)
No peak broadening, texture or thermal motion is included.

Most intense lines, 10° ≤ 2θ ≤ 80°, in order of rising 2θ:
- 4.690 Å, 18.9 deg, intensity 64
- 3.734 Å, 23.8 deg, intensity 61
- 2.804 Å, 31.9 deg, intensity 71
- 2.754 Å, 32.5 deg, intensity 100
- 2.700 Å, 33.2 deg, intensity 93
- 2.674 Å, 33.5 deg, intensity 59
- 2.187 Å, 41.3 deg, intensity 58
- 1.588 Å, 58.1 deg, intensity 91

Structure:
Cell lengths 6.0278, 8.9497, 13.5458 Å; angles 90.00, 90.00, 90.00 degrees
Space group Cmcm (No. 63)
Unique sites:
Sr 0.0000 0.1630 0.2500 (multiplicity 4)
Mn 0.2500 0.2500 0.0000 (multiplicity 8)
Si 0.0000 0.4760 0.6333 (multiplicity 8)
O 0.0000 0.1252 0.7500 (multiplicity 4)
O 0.0000 0.1421 0.5472 (multiplicity 8)
O 0.0000 0.3632 0.0696 (multiplicity 8)
O 0.0000 0.4651 0.2500 (multiplicity 4)
O 0.2257 0.3819 0.6132 (multiplicity 16)